This entry pairs a crystal structure of CaIn2I8 with its simulated X-ray powder pattern. Radiation: λ = 1.5418 Å (Cu Kα). Structure: a GGA-PBE-relaxed structure.

Structural model:
Lattice parameters (Å, degrees): 21.144 10.010 14.352 90.00 130.71 90.00
Space group C2/c (No. 15)
Inequivalent atoms, fractional coordinates:
Ca: 0.000 0.002 0.250 (multiplicity 4)
In: 0.087 0.248 0.034 (multiplicity 8)
I: 0.075 0.219 0.688 (multiplicity 8)
I: 0.092 0.242 0.234 (multiplicity 8)
I: 0.162 0.020 0.030 (multiplicity 8)
I: 0.162 0.476 0.049 (multiplicity 8)

Peak list (8 most intense, 2θ = 15–90°, low angle first)
Position (°2θ), I_rel, hkl
20.93, 55, 2 2 0
22.19, 37, 4 0 0
24.16, 48, 0 2 2
24.57, 100, 4 2 -2
24.83, 51, 4 0 -4
25.07, 47, 2 0 2
32.97, 44, 0 0 4
38.19, 63, 6 2 0

***

This entry pairs a crystal structure of Nd4Ni2Ag5 with its simulated X-ray powder pattern. Radiation: λ = 1.5418 Å (Cu Kα). Structure: a GGA-PBE-relaxed structure.

Structural model:
Lattice parameters (Å, degrees): 7.413 3.949 8.780 90.00 94.41 90.00
Space group P2/m (No. 10)
Inequivalent atoms, fractional coordinates:
Nd: 0.195 0.000 0.351 (multiplicity 2)
Nd: 0.230 0.000 0.922 (multiplicity 2)
Ni: 0.070 0.500 0.131 (multiplicity 2)
Ag: 0.155 0.500 0.636 (multiplicity 2)
Ag: 0.447 0.500 0.167 (multiplicity 2)
Ag: 0.500 0.500 0.500 (multiplicity 1)

Peak list (8 most intense, 2θ = 15–90°, low angle first)
Position (°2θ), I_rel, hkl
32.26, 98, 1 1 -2
33.20, 94, 2 1 0
33.45, 100, 1 1 2
33.88, 35, 1 0 3
35.36, 34, 2 1 1
36.47, 35, 3 0 0
38.36, 31, 0 1 3
45.96, 48, 0 2 0